Diffraction record for RbU6Se8. The X-ray powder pattern is computed, not measured: it uses a structure optimized by DFT (GGA-PBE) and Cu Ka.
Lines closer than 0.1° are merged.

Principal peaks in the range 2θ from 5° to 70°, by angle:
d = 7.779 Å, I = 1000; d = 5.307 Å, I = 192; d = 3.587 Å, I = 104; d = 3.216 Å, I = 283; d = 2.683 Å, I = 169; d = 2.593 Å, I = 225; d = 2.407 Å, I = 157; d = 2.361 Å, I = 272; d = 2.136 Å, I = 65; d = 1.855 Å, I = 76; d = 1.768 Å, I = 69; d = 1.761 Å, I = 74

Crystal structure
```
RbU6Se8
1.0
5.7161 3.3002 4.1911
-5.7161 3.3002 4.1911
0.0000 -6.6004 4.1911
Rb U Se
1 6 8
Cartesian
0.0000 0.0000 0.0000 Rb
-1.9701 -0.4467 5.5086 U
-0.5982 -1.9295 7.0646 U
1.3719 -1.4828 5.5086 U
-1.3719 1.4828 7.0646 U
0.5982 1.9295 5.5086 U
1.9701 0.4467 7.0646 U
-1.7763 -3.2176 4.7883 Se
0.0000 0.0000 3.5564 Se
-3.6747 -0.0705 7.7849 Se
-1.8984 3.1471 4.7883 Se
1.8984 -3.1471 7.7849 Se
3.6747 0.0705 4.7883 Se
0.0000 0.0000 9.0168 Se
1.7763 3.2177 7.7849 Se
```